Entry 1:
Computed powder diffractogram of Na3In7 for CuKα, from DFT lattice parameters and positions (GGA-PBE).

Structural model:
Unit cell a=17.138 b=4.646 c=6.786 alpha=90.00 beta=103.42 gamma=90.00
Space group C2/m (No. 12)
Symmetry-distinct sites (fractional):
1 Na 0.000 0.000 0.000 (multiplicity 2)
2 Na 0.199 0.000 0.604 (multiplicity 4)
3 In 0.000 0.000 0.500 (multiplicity 2)
4 In 0.096 0.500 0.305 (multiplicity 4)
5 In 0.104 0.500 0.809 (multiplicity 4)
6 In 0.197 0.000 0.101 (multiplicity 4)

Top 10 peaks for 2θ = 10–90°, sorted by position:
- (2 0 1), 2θ 18.99, rel. 19
- (3 1 -1), 2θ 26.60, rel. 19
- (1 1 -2), 2θ 32.70, rel. 100
- (5 1 0), 2θ 33.07, rel. 96
- (6 0 -2), 2θ 37.15, rel. 35
- (4 0 2), 2θ 38.52, rel. 32
- (0 2 0), 2θ 38.77, rel. 33
- (6 2 -2), 2θ 54.78, rel. 22
- (4 2 2), 2θ 55.80, rel. 21
- (7 1 -4), 2θ 63.95, rel. 13

=====

Entry 2:
Computed powder diffractogram of Zn4Cu3Au4 for CuKα, from DFT lattice parameters and positions (GGA-PBE).

Structural model:
Unit cell a=2.891 b=4.363 c=13.554 alpha=81.25 beta=84.96 gamma=89.57
Space group P-1 (No. 2)
Symmetry-distinct sites (fractional):
1 Zn 0.184 0.178 0.136 (multiplicity 2)
2 Zn 0.260 0.457 0.583 (multiplicity 2)
3 Cu 0.000 0.000 0.500 (multiplicity 1)
4 Cu 0.161 0.627 0.243 (multiplicity 2)
5 Au 0.281 0.288 0.933 (multiplicity 2)
6 Au 0.395 0.907 0.686 (multiplicity 2)

Top 10 peaks for 2θ = 10–90°, sorted by position:
- (0 1 -2), 2θ 26.26, rel. 49
- (0 1 3), 2θ 26.51, rel. 46
- (-1 1 1), 2θ 37.98, rel. 39
- (1 0 -3), 2θ 38.71, rel. 61
- (1 1 3), 2θ 39.94, rel. 48
- (1 -1 2), 2θ 40.05, rel. 45
- (0 2 1), 2θ 41.39, rel. 100
- (0 1 -5), 2θ 42.45, rel. 73
- (0 1 6), 2θ 42.82, rel. 73
- (1 -1 3), 2θ 42.99, rel. 40